For Zr6Fe16Si7, a DFT-relaxed cell (PBE, the Materials Project) gives the computed X-ray powder pattern in this record (Cu Kα (λ = 1.5418 Å)).

Peak list (12 most intense, 2θ = 10–90°, low angle first)
- (2 2 2), 26.99 deg, I = 34.6
- (3 3 1), 34.16 deg, I = 14.2
- (4 2 2), 38.55 deg, I = 25.5
- (3 3 3), 40.99 deg, I = 98.6
- (4 4 0), 44.81 deg, I = 100.0
- (5 3 1), 46.98 deg, I = 19.6
- (6 0 0), 47.69 deg, I = 19.6
- (5 3 3), 52.44 deg, I = 15.2
- (7 3 3), 66.94 deg, I = 15.5
- (8 2 2), 69.74 deg, I = 22.2
- (5 5 5), 71.39 deg, I = 14.0
- (9 3 3), 84.20 deg, I = 18.4

Atomic structure:
Cell: 11.4419 11.4419 11.4419 Å, 90.00 90.00 90.00°
Space group Fm-3m (No. 225)
Inequivalent atoms, fractional coordinates:
1 Zr 0.0000 0.0000 0.2080 (multiplicity 24)
2 Fe 0.1223 0.1223 0.3777 (multiplicity 32)
3 Fe 0.1763 0.1763 0.1763 (multiplicity 32)
4 Si 0.0000 0.0000 0.5000 (multiplicity 4)
5 Si 0.0000 0.2500 0.2500 (multiplicity 24)